1.
Computed powder diffractogram of CaAlH5 for a wavelength of 1.5418 Å, from a DFT-relaxed cell (PBE, the Materials Project).
Neutral-atom scattering factors, no anomalous dispersion.

Most intense lines, 2θ from 15° to 90°, by angle:
2θ 25.73, rel. 1000
2θ 27.36, rel. 522
2θ 30.31, rel. 392
2θ 31.85, rel. 283
2θ 31.93, rel. 351
2θ 33.03, rel. 596
2θ 36.58, rel. 496
2θ 37.90, rel. 297

Structure:
Cell: 8.351 6.926 12.396 Å, 90.00 128.67 90.00°
Space group P2_1/c (No. 14)
One atom of each set of equivalent atoms:
Ca 0.155 0.229 0.347 (multiplicity 4)
Ca 0.287 0.730 0.545 (multiplicity 4)
Al 0.281 0.221 0.655 (multiplicity 4)
Al 0.308 0.691 0.311 (multiplicity 4)
H 0.057 0.211 0.629 (multiplicity 4)
H 0.112 0.708 0.139 (multiplicity 4)
H 0.152 0.564 0.337 (multiplicity 4)
H 0.193 0.614 0.836 (multiplicity 4)
H 0.220 0.097 0.041 (multiplicity 4)
H 0.231 0.056 0.536 (multiplicity 4)
H 0.385 0.139 0.299 (multiplicity 4)
H 0.388 0.032 0.790 (multiplicity 4)
H 0.456 0.695 0.778 (multiplicity 4)
H 0.499 0.697 0.485 (multiplicity 4)

=====

2.
Computed powder diffractogram of InPtO3 for a wavelength of 1.5418 Å, from a DFT-relaxed cell (PBE, the Materials Project).
Neutral-atom scattering factors, no anomalous dispersion.

Most intense lines, 2θ from 15° to 90°, by angle:
2θ 22.06, rel. 118
2θ 31.39, rel. 1000
2θ 44.99, rel. 275
2θ 50.65, rel. 53
2θ 55.89, rel. 400
2θ 65.51, rel. 170
2θ 74.45, rel. 173
2θ 83.01, rel. 58

Structure:
Cell: 4.030 4.030 4.030 Å, 90.00 90.00 90.00°
Space group Pm-3m (No. 221)
One atom of each set of equivalent atoms:
In 0.000 0.000 0.000 (multiplicity 1)
Pt 0.500 0.500 0.500 (multiplicity 1)
O 0.000 0.500 0.500 (multiplicity 3)